The following is a theoretical powder X-ray diffraction pattern of Zr2AlFe3. It was derived from a crystal structure in the Materials Project, relaxed with GGA-PBE, using Cu Kα, 1.54184 Å.

Peak list (8 most intense, 2θ from 10° to 90°, by angle)
d (Å)	2theta	I_rel	index
2.527	35.52	36	1 1 0
2.310	39.00	100	1 0 3
2.189	41.25	24	2 0 0
2.148	42.06	85	1 1 2
2.114	42.78	83	2 0 1
1.413	66.11	35	2 1 3
1.308	72.23	30	2 0 5
1.264	75.19	23	2 2 0

Structure:
Cell: 5.054 5.054 8.156 Å, 90.00 90.00 120.00°
Fractional coordinates of all 12 atoms:
Zr 0.333 0.667 0.065
Zr 0.333 0.667 0.435
Zr 0.667 0.333 0.565
Zr 0.667 0.333 0.935
Al 0.000 0.000 0.000
Al 0.000 0.000 0.500
Fe 0.173 0.345 0.750
Fe 0.173 0.827 0.750
Fe 0.345 0.173 0.250
Fe 0.655 0.827 0.750
Fe 0.827 0.173 0.250
Fe 0.827 0.655 0.250

---

The following is a theoretical powder X-ray diffraction pattern of AlGa3. It was derived from a crystal structure in the Materials Project, relaxed with GGA-PBE, using Cu Kα, 1.54184 Å.

Peak list (8 most intense, 2θ from 10° to 90°, by angle)
d (Å)	2theta	I_rel	index
3.678	24.20	11	1 0 1
2.404	37.42	100	1 1 2
2.226	40.53	20	0 0 4
2.019	44.89	30	2 0 0
1.496	62.06	22	2 0 4
1.317	71.67	14	1 1 6
1.228	77.81	22	3 1 2
1.202	79.80	10	2 2 4

Structure:
Cell: 4.038 4.038 8.904 Å, 90.00 90.00 90.00°
Fractional coordinates of all 8 atoms:
Al 0.000 0.000 0.000
Al 0.500 0.500 0.500
Ga 0.000 0.000 0.500
Ga 0.000 0.500 0.250
Ga 0.000 0.500 0.750
Ga 0.500 0.000 0.250
Ga 0.500 0.000 0.750
Ga 0.500 0.500 0.000

---

The following is a theoretical powder X-ray diffraction pattern of Al3Ga. It was derived from a crystal structure in the Materials Project, relaxed with GGA-PBE, using Cu Kα, 1.54184 Å.

Peak list (8 most intense, 2θ from 10° to 90°, by angle)
d (Å)	2theta	I_rel	index
4.068	21.85	28	1 0 0
2.876	31.09	24	1 1 0
2.349	38.32	100	1 1 1
2.034	44.55	48	2 0 0
1.819	50.15	12	2 1 0
1.438	64.83	31	2 2 0
1.227	77.89	36	3 1 1
1.174	82.07	10	2 2 2

Structure:
Cell: 4.068 4.068 4.068 Å, 90.00 90.00 90.00°
Fractional coordinates of all 4 atoms:
Al 0.000 0.000 0.500
Al 0.000 0.500 0.000
Al 0.500 0.000 0.000
Ga 0.500 0.500 0.500

---

- Which formula does entry 3 have?
  Al3Ga